Record 1
Diffraction record for In3Pt4. The PXRD pattern is simulated, not measured: it uses a structure optimized by DFT (GGA-PBE) and Cu Kα.
Kinematic intensities with the Lorentz-polarization factor, no thermal factor.

Top 8 peaks for 2θ from 10° to 90°, in order of rising 2θ:
21.3°, rel. 14; 22.9°, rel. 20; 39.4°, rel. 82; 39.5°, rel. 96; 40.2°, rel. 100; 40.3°, rel. 48; 57.6°, rel. 25; 72.6°, rel. 22

Structure:
Lattice parameters (Å, degrees): 7.1983 7.2253 8.9764 107.92 108.11 103.22
Fractional positions:
In  0.0000  0.0000  0.0000
In  0.0063  0.9980  0.4267
In  0.3892  0.8680  0.3009
In  0.4216  0.4327  0.4283
In  0.4496  0.9166  0.7951
In  0.4796  0.4707  0.9498
In  0.8850  0.3537  0.8104
In  0.8996  0.3645  0.2475
In  0.9427  0.6729  0.6181
Pt  0.1509  0.1039  0.7759
Pt  0.1889  0.4340  0.6213
Pt  0.1954  0.4273  0.1193
Pt  0.2262  0.7253  0.9481
Pt  0.4399  0.1737  0.6129
Pt  0.4448  0.1761  0.1205
Pt  0.6591  0.6382  0.7753
Pt  0.6691  0.6290  0.2967
Pt  0.6897  0.9299  0.1184
Pt  0.6976  0.9269  0.6126
Pt  0.7369  0.2313  0.4554
Pt  0.9463  0.6812  0.1226


Record 2
Diffraction record for MgZn3S4. The PXRD pattern is simulated, not measured: it uses a structure optimized by DFT (GGA-PBE) and Cu Kα.
Kinematic intensities with the Lorentz-polarization factor, no thermal factor.

Top 8 peaks for 2θ from 10° to 90°, in order of rising 2θ:
30.1°, rel. 16; 35.0°, rel. 100; 50.3°, rel. 55; 50.3°, rel. 11; 59.7°, rel. 8; 62.7°, rel. 22; 73.8°, rel. 10; 84.3°, rel. 23

Structure:
Lattice parameters (Å, degrees): 12.0312 3.6340 6.2867 90.00 99.99 90.00
Fractional positions:
Mg  0.0000  0.0000  0.0000
Mg  0.5000  0.5000  0.0000
Zn  0.0000  0.5000  0.5000
Zn  0.2493  0.0000  0.7490
Zn  0.2507  0.5000  0.2510
Zn  0.5000  0.0000  0.5000
Zn  0.7493  0.5000  0.7490
Zn  0.7507  0.0000  0.2510
S  0.1260  0.0000  0.3800
S  0.1278  0.5000  0.8722
S  0.3722  0.0000  0.1278
S  0.3740  0.5000  0.6200
S  0.6260  0.5000  0.3800
S  0.6278  0.0000  0.8722
S  0.8722  0.5000  0.1278
S  0.8740  0.0000  0.6200


Record 3
Diffraction record for Cs2AgAsCl6. The PXRD pattern is simulated, not measured: it uses a structure optimized by DFT (GGA-PBE) and Cu Kα.
Kinematic intensities with the Lorentz-polarization factor, no thermal factor.

Top 8 peaks for 2θ from 10° to 90°, in order of rising 2θ:
23.8°, rel. 100; 29.3°, rel. 23; 33.9°, rel. 62; 41.8°, rel. 45; 48.7°, rel. 42; 54.9°, rel. 21; 66.1°, rel. 24; 81.4°, rel. 18

Structure:
Lattice parameters (Å, degrees): 7.4786 7.4786 7.4786 60.00 60.00 60.00
Fractional positions:
Cs  0.2500  0.2500  0.2500
Cs  0.7500  0.7500  0.7500
Ag  0.0000  0.0000  0.0000
As  0.5000  0.5000  0.5000
Cl  0.2605  0.2605  0.7395
Cl  0.2605  0.7395  0.2605
Cl  0.2605  0.7395  0.7395
Cl  0.7395  0.2605  0.2605
Cl  0.7395  0.2605  0.7395
Cl  0.7395  0.7395  0.2605


Record 4
Diffraction record for CeReO4. The PXRD pattern is simulated, not measured: it uses a structure optimized by DFT (GGA-PBE) and Cu Kα.
Kinematic intensities with the Lorentz-polarization factor, no thermal factor.

Top 8 peaks for 2θ from 10° to 90°, in order of rising 2θ:
23.5°, rel. 21; 28.8°, rel. 100; 29.0°, rel. 65; 29.8°, rel. 28; 33.2°, rel. 29; 34.9°, rel. 22; 48.1°, rel. 24; 50.2°, rel. 28

Structure:
Lattice parameters (Å, degrees): 7.6818 5.4018 7.5929 90.00 99.87 90.00
Fractional positions:
Ce  0.1579  0.2202  0.3972
Ce  0.1579  0.2798  0.8972
Ce  0.8421  0.7202  0.1028
Ce  0.8421  0.7798  0.6028
Re  0.3354  0.7204  0.1986
Re  0.3354  0.7796  0.6986
Re  0.6646  0.2204  0.3014
Re  0.6646  0.2796  0.8014
O  0.1071  0.5133  0.1704
O  0.1071  0.9867  0.6704
O  0.1756  0.0077  0.1232
O  0.1756  0.4923  0.6232
O  0.3280  0.6543  0.9421
O  0.3280  0.8457  0.4421
O  0.4500  0.0845  0.7928
O  0.4500  0.4155  0.2928
O  0.5500  0.5845  0.7072
O  0.5500  0.9155  0.2072
O  0.6720  0.1543  0.5579
O  0.6720  0.3457  0.0579
O  0.8244  0.5077  0.3768
O  0.8244  0.9923  0.8768
O  0.8929  0.0133  0.3296
O  0.8929  0.4867  0.8296